[1]
Starting from DFT lattice parameters and positions (PBE), the X-ray powder pattern of Mg5ZnPd was computed for Cu Ka.

Atomic structure:
Unit cell a=11.6433 b=8.0029 c=9.3093 alpha=90.00 beta=118.56 gamma=90.00
Space group C2/c (No. 15)
One atom of each set of equivalent atoms:
Mg 0.0000 0.1039 0.2500
Mg 0.0205 0.3151 0.9644
Mg 0.2484 0.0221 0.6484
Zn 0.0000 0.4418 0.2500
Pd 0.0000 0.0000 0.0000

The 12 most intense peaks (10° ≤ 2θ ≤ 80°), by angle:
2θ 14.05, intensity 104, (1 1 0); 2θ 17.34, intensity 728, (2 0 0); 2θ 22.18, intensity 1000, (1 1 -2); 2θ 27.18, intensity 99, (3 1 -2); 2θ 35.11, intensity 336, (4 0 0); 2θ 38.85, intensity 161, (2 0 -4); 2θ 38.95, intensity 246, (1 3 -2); 2θ 40.35, intensity 149, (5 1 -2); 2θ 41.93, intensity 125, (4 2 0); 2θ 43.41, intensity 109, (3 1 2); 2θ 45.21, intensity 108, (2 2 -4); 2θ 56.06, intensity 102, (6 2 -4)

[2]
Starting from DFT lattice parameters and positions (PBE), the X-ray powder pattern of MgZr4Pd5 was computed for Cu Ka.

Atomic structure:
Unit cell a=3.3078 b=3.3078 c=16.8489 alpha=90.00 beta=90.00 gamma=90.00
Space group P4/mmm (No. 123)
One atom of each set of equivalent atoms:
Mg 0.0000 0.0000 0.0000
Zr 0.0000 0.0000 0.1933
Zr 0.0000 0.0000 0.3981
Pd 0.5000 0.5000 0.0946
Pd 0.5000 0.5000 0.2957
Pd 0.5000 0.5000 0.5000

The 12 most intense peaks (10° ≤ 2θ ≤ 80°), by angle:
2θ 10.50, intensity 19, (0 0 2); 2θ 26.45, intensity 15, (0 0 5); 2θ 26.95, intensity 30, (1 0 0); 2θ 31.39, intensity 14, (1 0 3); 2θ 34.47, intensity 32, (1 0 4); 2θ 38.12, intensity 1000, (1 0 5); 2θ 38.49, intensity 497, (1 1 0); 2θ 54.46, intensity 82, (0 0 10); 2θ 55.57, intensity 167, (2 0 0); 2θ 63.67, intensity 15, (1 1 9); 2θ 68.65, intensity 159, (1 1 10); 2θ 69.38, intensity 328, (2 1 5)

[3]
Starting from DFT lattice parameters and positions (PBE), the X-ray powder pattern of MgZr5Pd6 was computed for Cu Ka.

Atomic structure:
Unit cell a=8.4588 b=13.5651 c=4.5650 alpha=90.00 beta=122.61 gamma=90.00
Space group C2/m (No. 12)
One atom of each set of equivalent atoms:
Mg 0.0000 0.0000 0.0000
Zr 0.0000 0.1750 0.5000
Zr 0.0000 0.3482 0.0000
Zr 0.0000 0.5000 0.5000
Pd 0.2193 0.0000 0.7197
Pd 0.2340 0.1698 0.2337

The 12 most intense peaks (10° ≤ 2θ ≤ 80°), by angle:
2θ 27.77, intensity 26, (1 3 -1); 2θ 35.29, intensity 46, (2 4 -1); 2θ 37.70, intensity 1000, (1 3 1); 2θ 38.48, intensity 28, (3 1 0); 2θ 39.48, intensity 233, (2 0 -2); 2θ 39.87, intensity 211, (0 6 0); 2θ 51.28, intensity 93, (4 0 0); 2θ 57.36, intensity 142, (2 6 -2); 2θ 66.59, intensity 80, (2 0 2); 2θ 66.87, intensity 73, (4 6 0); 2θ 70.43, intensity 152, (5 3 -3); 2θ 70.97, intensity 128, (1 9 1)

[4]
Starting from DFT lattice parameters and positions (PBE), the X-ray powder pattern of Pm2Mg17 was computed for Cu Ka.

Atomic structure:
Unit cell a=10.2668 b=10.2668 c=15.2427 alpha=90.00 beta=90.00 gamma=120.00
Space group R-3m (No. 166, hexagonal axes)
One atom of each set of equivalent atoms:
Pm 0.0000 0.0000 0.1703
Mg 0.0000 0.0000 0.4008
Mg 0.0000 0.3011 0.5000
Mg 0.0000 0.5000 0.0000
Mg 0.0084 0.5042 0.6511

The 12 most intense peaks (10° ≤ 2θ ≤ 80°), by angle:
2θ 11.52, intensity 137, (1 0 1); 2θ 15.31, intensity 161, (0 1 2); 2θ 17.27, intensity 281, (1 1 0); 2θ 24.65, intensity 522, (1 1 3); 2θ 29.04, intensity 139, (1 2 2); 2θ 30.15, intensity 330, (3 0 0); 2θ 35.02, intensity 1000, (2 2 0); 2θ 35.33, intensity 164, (0 0 6); 2θ 35.68, intensity 215, (2 0 5); 2θ 50.34, intensity 173, (4 1 3); 2θ 50.55, intensity 141, (2 2 6); 2θ 56.77, intensity 136, (3 3 3)

[5]
Starting from DFT lattice parameters and positions (PBE), the X-ray powder pattern of Pm2Mg was computed for Cu Ka.

Atomic structure:
Unit cell a=12.1970 b=3.7445 c=8.6789 alpha=90.00 beta=110.86 gamma=90.00
Space group C2/m (No. 12)
One atom of each set of equivalent atoms:
Pm 0.0136 0.0000 0.2218
Pm 0.1611 0.5000 0.5961
Mg 0.1864 0.5000 0.0738

The 12 most intense peaks (10° ≤ 2θ ≤ 80°), by angle:
2θ 10.91, intensity 321, (0 0 1); 2θ 26.21, intensity 414, (1 1 -1); 2θ 29.29, intensity 269, (4 0 -1); 2θ 31.16, intensity 283, (2 0 -3); 2θ 31.29, intensity 981, (2 0 2); 2θ 31.56, intensity 1000, (1 1 -2); 2θ 33.61, intensity 904, (3 1 0); 2θ 41.62, intensity 163, (2 0 -4); 2θ 48.62, intensity 390, (0 2 0); 2θ 54.52, intensity 312, (1 1 4); 2θ 58.49, intensity 291, (5 1 2); 2θ 58.96, intensity 414, (2 2 2)

[6]
Starting from DFT lattice parameters and positions (PBE), the X-ray powder pattern of Pm13Mg2 was computed for Cu Ka.

Atomic structure:
Unit cell a=6.4194 b=8.8667 c=9.5813 alpha=65.44 beta=85.77 gamma=86.28
Space group P-1 (No. 2)
One atom of each set of equivalent atoms:
Pm 0.0000 0.0000 0.0000
Pm 0.1557 0.2364 0.2295
Pm 0.1966 0.4183 0.8116
Pm 0.2679 0.5166 0.4076
Pm 0.3241 0.6670 0.9958
Pm 0.3496 0.8292 0.5876
Pm 0.4952 0.9158 0.2018
Mg 0.0585 0.1499 0.6155

The 12 most intense peaks (10° ≤ 2θ ≤ 80°), by angle:
2θ 30.48, intensity 1000, (1 1 3); 2θ 30.77, intensity 356, (1 1 -2); 2θ 31.11, intensity 72, (-2 1 1); 2θ 33.46, intensity 283, (2 2 1); 2θ 33.86, intensity 260, (-1 2 3); 2θ 38.75, intensity 152, (1 -2 2); 2θ 48.19, intensity 99, (1 4 4); 2θ 48.50, intensity 90, (3 0 -2); 2θ 51.88, intensity 90, (3 0 3); 2θ 52.32, intensity 71, (1 4 -1); 2θ 57.98, intensity 99, (2 5 2); 2θ 58.33, intensity 101, (3 3 -1)

[7]
Starting from DFT lattice parameters and positions (PBE), the X-ray powder pattern of Pm5Mg2 was computed for Cu Ka.

Atomic structure:
Unit cell a=8.1144 b=15.6289 c=7.0882 alpha=90.00 beta=90.00 gamma=90.00
Space group Cccm (No. 66)
One atom of each set of equivalent atoms:
Pm 0.0000 0.0000 0.2500
Pm 0.0000 0.2328 0.2500
Pm 0.1796 0.4045 0.0000
Mg 0.2274 0.3795 0.5000

The 12 most intense peaks (10° ≤ 2θ ≤ 80°), by angle:
2θ 17.56, intensity 198, (1 1 1); 2θ 23.87, intensity 358, (1 3 1); 2θ 24.73, intensity 152, (2 2 0); 2θ 27.64, intensity 161, (0 2 2); 2θ 27.79, intensity 199, (2 2 1); 2θ 28.06, intensity 413, (1 1 2); 2θ 30.65, intensity 365, (1 5 0); 2θ 31.80, intensity 649, (2 4 0); 2θ 33.59, intensity 1000, (2 0 2); 2θ 34.16, intensity 692, (0 4 2); 2θ 51.59, intensity 473, (0 0 4); 2θ 61.87, intensity 192, (2 4 4)

[8]
Starting from DFT lattice parameters and positions (PBE), the X-ray powder pattern of Pm2Mg3 was computed for Cu Ka.

Atomic structure:
Unit cell a=3.8360 b=3.8360 c=18.8998 alpha=90.00 beta=90.00 gamma=90.00
Space group P4/mmm (No. 123)
One atom of each set of equivalent atoms:
Pm 0.0000 0.0000 0.1032
Pm 0.0000 0.0000 0.3056
Mg 0.0000 0.0000 0.5000
Mg 0.5000 0.5000 0.0000
Mg 0.5000 0.5000 0.2051
Mg 0.5000 0.5000 0.4126

The 12 most intense peaks (10° ≤ 2θ ≤ 80°), by angle:
2θ 23.19, intensity 540, (1 0 0); 2θ 23.54, intensity 259, (0 0 5); 2θ 33.02, intensity 521, (1 1 0); 2θ 33.28, intensity 1000, (1 0 5); 2θ 40.95, intensity 255, (1 1 5); 2θ 47.40, intensity 188, (2 0 0); 2θ 53.41, intensity 115, (2 1 0); 2θ 53.59, intensity 125, (2 0 5); 2θ 54.09, intensity 108, (1 0 10); 2θ 59.14, intensity 382, (2 1 5); 2θ 59.62, intensity 168, (1 1 10); 2θ 69.87, intensity 104, (2 0 10)

[9]
Starting from DFT lattice parameters and positions (PBE), the X-ray powder pattern of Pm3Mg5 was computed for Cu Ka.

Atomic structure:
Unit cell a=7.6375 b=7.6375 c=7.6375 alpha=90.00 beta=90.00 gamma=90.00
Space group Im-3m (No. 229)
One atom of each set of equivalent atoms:
Pm 0.0000 0.0000 0.5000
Mg 0.0000 0.0000 0.0000
Mg 0.2500 0.2500 0.2500

The 12 most intense peaks (10° ≤ 2θ ≤ 80°), by angle:
2θ 16.41, intensity 247, (1 1 0); 2θ 23.29, intensity 496, (2 0 0); 2θ 28.63, intensity 132, (2 1 1); 2θ 33.18, intensity 1000, (2 2 0); 2θ 40.93, intensity 153, (2 2 2); 2θ 44.38, intensity 81, (3 2 1); 2θ 47.63, intensity 180, (4 0 0); 2θ 53.67, intensity 210, (4 2 0); 2θ 59.27, intensity 372, (4 2 2); 2θ 69.64, intensity 114, (4 4 0); 2θ 74.55, intensity 100, (6 0 0); 2θ 79.34, intensity 157, (6 2 0)

[10]
Starting from DFT lattice parameters and positions (PBE), the X-ray powder pattern of Pm5Mg2 was computed for Cu Ka.

Atomic structure:
Unit cell a=3.5827 b=3.5827 c=34.1698 alpha=90.00 beta=90.00 gamma=90.00
Space group I4/mmm (No. 139)
One atom of each set of equivalent atoms:
Pm 0.0000 0.0000 0.0000
Pm 0.0000 0.0000 0.1541
Pm 0.0000 0.0000 0.4224
Mg 0.0000 0.0000 0.2768

The 12 most intense peaks (10° ≤ 2θ ≤ 80°), by angle:
2θ 10.36, intensity 109, (0 0 4); 2θ 28.12, intensity 323, (1 0 5); 2θ 30.96, intensity 1000, (1 0 7); 2θ 31.42, intensity 140, (0 0 12); 2θ 35.43, intensity 397, (1 1 0); 2θ 36.83, intensity 103, (0 0 14); 2θ 48.07, intensity 172, (1 1 12); 2θ 50.98, intensity 141, (2 0 0); 2θ 52.03, intensity 153, (1 1 14); 2θ 57.32, intensity 157, (1 0 19); 2θ 60.85, intensity 290, (2 1 7); 2θ 61.12, intensity 84, (2 0 12)

[11]
Starting from DFT lattice parameters and positions (PBE), the X-ray powder pattern of Pm7Mg3 was computed for Cu Ka.

Atomic structure:
Unit cell a=10.4397 b=10.4397 c=6.8224 alpha=90.00 beta=90.00 gamma=120.00
Space group P6_3mc (No. 186)
One atom of each set of equivalent atoms:
Pm 0.0495 0.5248 0.0000
Pm 0.1226 0.2453 0.2376
Pm 0.3333 0.6667 0.3248
Mg 0.2173 0.4345 0.6925

The 12 most intense peaks (10° ≤ 2θ ≤ 80°), by angle:
2θ 16.28, intensity 245, (1 0 1); 2θ 26.08, intensity 449, (2 1 0); 2θ 27.96, intensity 389, (1 0 2); 2θ 29.23, intensity 1000, (2 1 1); 2θ 32.48, intensity 693, (3 0 1); 2θ 32.89, intensity 893, (2 0 2); 2θ 34.36, intensity 393, (2 2 0); 2θ 48.03, intensity 210, (4 1 1); 2θ 51.57, intensity 290, (3 2 2); 2θ 52.34, intensity 234, (5 0 1); 2θ 60.40, intensity 180, (3 2 3); 2θ 65.98, intensity 184, (5 0 3)

[12]
Starting from DFT lattice parameters and positions (PBE), the X-ray powder pattern of PmMg5 was computed for Cu Ka.

Atomic structure:
Unit cell a=3.2689 b=3.2689 c=16.2338 alpha=90.00 beta=90.00 gamma=120.00
Space group P-6m2 (No. 187)
One atom of each set of equivalent atoms:
Pm 0.0000 0.0000 0.0000
Mg 0.0000 0.0000 0.3387
Mg 0.6667 0.3333 0.1788
Mg 0.6667 0.3333 0.5000

The 12 most intense peaks (10° ≤ 2θ ≤ 80°), by angle:
2θ 10.90, intensity 619, (0 0 2); 2θ 16.38, intensity 280, (0 0 3); 2θ 31.61, intensity 349, (1 0 0); 2θ 32.09, intensity 328, (1 0 1); 2θ 33.11, intensity 249, (0 0 6); 2θ 33.53, intensity 322, (1 0 2); 2θ 35.80, intensity 1000, (1 0 3); 2θ 38.79, intensity 175, (1 0 4); 2θ 46.42, intensity 238, (1 0 6); 2θ 56.29, intensity 167, (1 1 0); 2θ 60.90, intensity 193, (1 0 9); 2θ 66.88, intensity 187, (1 1 6)

[13]
Starting from DFT lattice parameters and positions (PBE), the X-ray powder pattern of PmMg3 was computed for Cu Ka.

Atomic structure:
Unit cell a=4.7385 b=4.7385 c=4.7385 alpha=90.00 beta=90.00 gamma=90.00
Space group Pm-3m (No. 221)
One atom of each set of equivalent atoms:
Pm 0.0000 0.0000 0.0000
Mg 0.0000 0.5000 0.5000

The 12 most intense peaks (10° ≤ 2θ ≤ 80°), by angle:
2θ 18.73, intensity 857, (1 0 0); 2θ 26.60, intensity 742, (1 1 0); 2θ 32.73, intensity 1000, (1 1 1); 2θ 37.98, intensity 499, (2 0 0); 2θ 42.67, intensity 422, (2 1 0); 2θ 46.97, intensity 321, (2 1 1); 2θ 54.80, intensity 340, (2 2 0); 2θ 58.43, intensity 211, (3 0 0); 2θ 61.93, intensity 142, (3 1 0); 2θ 65.31, intensity 396, (3 1 1); 2θ 68.61, intensity 113, (2 2 2); 2θ 75.00, intensity 163, (3 2 1)